1.
Simulated powder XRD pattern of Ac2Pr3Ho for λ = 1.5418 Å (Cu Kα), from the PBE geometry in Alexandria.
Peak positions follow from Bragg's law for the DFT cell and can differ from measured ones.

Crystal structure
```
data_Ac2Pr3Ho
_cell_length_a 5.359
_cell_length_b 8.433
_cell_length_c 11.309
_cell_angle_alpha 72.38
_cell_angle_beta 76.30
_cell_angle_gamma 71.55
_space_group_name_H-M_alt 'P -1'
_space_group_IT_number 2
_space_group_name_Hall '-P 1'
loop_
_atom_site_label
_atom_site_type_symbol
_atom_site_fract_x
_atom_site_fract_y
_atom_site_fract_z
Ac1 Ac 0.036 0.297 0.130
Ac2 Ac 0.291 0.047 0.870
Pr1 Pr 0.125 0.871 0.379
Pr2 Pr 0.209 0.459 0.622
Pr3 Pr 0.454 0.211 0.381
Ho1 Ho 0.374 0.622 0.129
```

Peak list (10 most intense, 15 to 90 degrees two-theta, low angle first)
hkl	Position (°2θ)	intensity
1 -1 2	28.95	100
1 2 -1	29.03	33
2 1 1	33.44	23
0 3 1	33.64	45
2 4 2	48.17	41
3 3 0	57.06	20
1 5 4	57.20	10
1 5 0	57.32	20
1 2 -5	57.44	10
3 -3 2	77.93	12


2.
Simulated powder XRD pattern of Na2Ce2I2Br5 for λ = 1.5418 Å (Cu Kα), from the PBE geometry in Alexandria.
Peak positions follow from Bragg's law for the DFT cell and can differ from measured ones.

Crystal structure
```
data_Na2Ce2I2Br5
_cell_length_a 5.957
_cell_length_b 5.957
_cell_length_c 27.352
_cell_angle_alpha 90.00
_cell_angle_beta 90.00
_cell_angle_gamma 90.00
_space_group_name_H-M_alt 'I 4/m m m'
_space_group_IT_number 139
_space_group_name_Hall '-I 4 2'
loop_
_atom_site_label
_atom_site_type_symbol
_atom_site_fract_x
_atom_site_fract_y
_atom_site_fract_z
Na1 Na 0.000 0.000 0.167
Ce1 Ce 0.000 0.000 0.392
I1 I 0.000 0.000 0.279
Br1 Br 0.000 0.000 0.500
Br2 Br 0.000 0.500 0.115
```

Peak list (10 most intense, 15 to 90 degrees two-theta, low angle first)
hkl	Position (°2θ)	intensity
1 0 1	15.22	100
1 1 4	24.82	31
2 0 0	30.00	93
0 0 10	32.77	27
1 0 9	33.09	63
2 1 1	33.80	28
2 0 8	40.15	27
2 2 0	42.94	34
2 0 10	45.01	25
2 1 9	45.26	53


3.
Simulated powder XRD pattern of CaLaPdRh for λ = 1.5418 Å (Cu Kα), from the PBE geometry in Alexandria.
Peak positions follow from Bragg's law for the DFT cell and can differ from measured ones.

Crystal structure
```
data_CaLaPdRh
_cell_length_a 4.221
_cell_length_b 3.995
_cell_length_c 11.263
_cell_angle_alpha 90.00
_cell_angle_beta 90.00
_cell_angle_gamma 90.00
_space_group_name_H-M_alt 'A m m 2'
_space_group_IT_number 38
_space_group_name_Hall 'A 2 -2'
loop_
_atom_site_label
_atom_site_type_symbol
_atom_site_fract_x
_atom_site_fract_y
_atom_site_fract_z
Ca1 Ca 0.000 0.000 0.000
La1 La 0.500 0.000 0.721
Pd1 Pd 0.500 0.000 0.441
Rh1 Rh 0.000 0.000 0.275
```

Peak list (10 most intense, 15 to 90 degrees two-theta, low angle first)
hkl	Position (°2θ)	intensity
0 0 2	15.74	24
0 1 1	23.63	13
0 0 4	31.83	100
0 1 3	32.73	15
1 0 4	38.43	25
1 1 3	39.24	68
2 0 0	42.85	20
0 2 0	45.40	17
1 2 4	60.95	12
2 2 0	64.20	12


4.
Simulated powder XRD pattern of Zn2GaFe2Ni5 for λ = 1.5418 Å (Cu Kα), from the PBE geometry in Alexandria.
Peak positions follow from Bragg's law for the DFT cell and can differ from measured ones.

Crystal structure
```
data_Zn2GaFe2Ni5
_cell_length_a 8.277
_cell_length_b 8.277
_cell_length_c 3.729
_cell_angle_alpha 90.00
_cell_angle_beta 90.00
_cell_angle_gamma 90.00
_space_group_name_H-M_alt 'P 4/m b m'
_space_group_IT_number 127
_space_group_name_Hall '-P 4 2ab'
loop_
_atom_site_label
_atom_site_type_symbol
_atom_site_fract_x
_atom_site_fract_y
_atom_site_fract_z
Zn1 Zn 0.175 0.325 0.000
Ga1 Ga 0.000 0.000 0.000
Fe1 Fe 0.120 0.620 0.000
Ni1 Ni 0.000 0.500 0.500
Ni2 Ni 0.080 0.802 0.500
```

Peak list (10 most intense, 15 to 90 degrees two-theta, low angle first)
hkl	Position (°2θ)	intensity
2 1 1	34.13	12
2 2 1	39.13	15
3 1 1	42.18	100
4 1 0	45.17	31
3 2 1	46.45	37
0 0 2	48.85	28
4 2 0	49.23	12
4 1 2	68.71	16
6 3 0	77.29	7
3 1 3	86.72	11


Copy entry 1 word for word.
Simulated powder XRD pattern of Ac2Pr3Ho for λ = 1.5418 Å (Cu Kα), from the PBE geometry in Alexandria.
Peak positions follow from Bragg's law for the DFT cell and can differ from measured ones.

Crystal structure
```
data_Ac2Pr3Ho
_cell_length_a 5.359
_cell_length_b 8.433
_cell_length_c 11.309
_cell_angle_alpha 72.38
_cell_angle_beta 76.30
_cell_angle_gamma 71.55
_space_group_name_H-M_alt 'P -1'
_space_group_IT_number 2
_space_group_name_Hall '-P 1'
loop_
_atom_site_label
_atom_site_type_symbol
_atom_site_fract_x
_atom_site_fract_y
_atom_site_fract_z
Ac1 Ac 0.036 0.297 0.130
Ac2 Ac 0.291 0.047 0.870
Pr1 Pr 0.125 0.871 0.379
Pr2 Pr 0.209 0.459 0.622
Pr3 Pr 0.454 0.211 0.381
Ho1 Ho 0.374 0.622 0.129
```

Peak list (10 most intense, 15 to 90 degrees two-theta, low angle first)
hkl	Position (°2θ)	intensity
1 -1 2	28.95	100
1 2 -1	29.03	33
2 1 1	33.44	23
0 3 1	33.64	45
2 4 2	48.17	41
3 3 0	57.06	20
1 5 4	57.20	10
1 5 0	57.32	20
1 2 -5	57.44	10
3 -3 2	77.93	12